Entry 1:
For NaPrTi4O12, a GGA-PBE-relaxed structure gives the simulated powder diffractogram in this record (Cu Kα (weighted mean of Kα1 and Kα2)).

Cell and atoms:
a = 5.453 Å, b = 5.453 Å, c = 7.886 Å
α = 90.00°, β = 90.00°, γ = 90.00°
Fractional coordinates of all 18 atoms:
Na 0.000 0.000 0.000
Pr 0.500 0.500 0.500
Ti 0.000 0.500 0.238
Ti 0.000 0.500 0.762
Ti 0.500 0.000 0.238
Ti 0.500 0.000 0.762
O 0.000 0.500 0.000
O 0.000 0.500 0.500
O 0.256 0.256 0.266
O 0.256 0.256 0.734
O 0.256 0.744 0.266
O 0.256 0.744 0.734
O 0.500 0.000 0.000
O 0.500 0.000 0.500
O 0.744 0.256 0.266
O 0.744 0.256 0.734
O 0.744 0.744 0.266
O 0.744 0.744 0.734

Main lines, in order of rising 2θ (10 to 80 degrees two-theta):
11.2°, I = 42; 16.3°, I = 42; 19.8°, I = 100; 32.5°, I = 85; 32.9°, I = 42; 47.1°, I = 51

Entry 2:
For Na4Pr3TiO8, a GGA-PBE-relaxed structure gives the simulated powder diffractogram in this record (Cu Kα (weighted mean of Kα1 and Kα2)).

Cell and atoms:
a = 6.928 Å, b = 6.928 Å, c = 6.928 Å
α = 60.04°, β = 60.04°, γ = 60.04°
Fractional coordinates of all 16 atoms:
Na 0.000 0.000 0.000
Na 0.000 0.500 0.500
Na 0.500 0.000 0.500
Na 0.500 0.500 0.000
Pr 0.000 0.000 0.500
Pr 0.000 0.500 0.000
Pr 0.500 0.000 0.000
Ti 0.500 0.500 0.500
O 0.245 0.245 0.245
O 0.278 0.715 0.715
O 0.285 0.286 0.722
O 0.285 0.722 0.285
O 0.715 0.278 0.715
O 0.715 0.715 0.278
O 0.722 0.285 0.285
O 0.755 0.755 0.755

Main lines, in order of rising 2θ (10 to 80 degrees two-theta):
15.7°, I = 100; 30.2°, I = 55; 31.6°, I = 80; 36.7°, I = 96; 52.8°, I = 61; 62.9°, I = 39

Entry 3:
For NaPrTlO3, a GGA-PBE-relaxed structure gives the simulated powder diffractogram in this record (Cu Kα (weighted mean of Kα1 and Kα2)).

Cell and atoms:
a = 6.537 Å, b = 3.445 Å, c = 9.129 Å
α = 90.00°, β = 107.82°, γ = 90.00°
Fractional coordinates of all 12 atoms:
Na 0.149 0.250 0.094
Na 0.851 0.750 0.906
Pr 0.332 0.750 0.816
Pr 0.668 0.250 0.184
Tl 0.261 0.750 0.401
Tl 0.739 0.250 0.599
O 0.061 0.250 0.820
O 0.336 0.250 0.588
O 0.400 0.750 0.089
O 0.600 0.250 0.911
O 0.664 0.750 0.412
O 0.939 0.750 0.180

Main lines, in order of rising 2θ (10 to 80 degrees two-theta):
21.1°, I = 63; 28.4°, I = 48; 28.7°, I = 46; 29.6°, I = 100; 29.8°, I = 53; 33.2°, I = 81

Entry 4:
For NaPrY4O8, a GGA-PBE-relaxed structure gives the simulated powder diffractogram in this record (Cu Kα (weighted mean of Kα1 and Kα2)).

Cell and atoms:
a = 6.962 Å, b = 6.962 Å, c = 6.962 Å
α = 59.10°, β = 59.10°, γ = 59.10°
Fractional coordinates of all 14 atoms:
Na 0.000 0.000 0.000
Pr 0.375 0.375 0.375
Y 0.374 0.374 0.886
Y 0.374 0.886 0.374
Y 0.753 0.753 0.753
Y 0.886 0.374 0.374
O 0.138 0.138 0.578
O 0.138 0.578 0.138
O 0.144 0.144 0.144
O 0.146 0.626 0.626
O 0.578 0.138 0.138
O 0.620 0.620 0.620
O 0.626 0.146 0.626
O 0.626 0.626 0.146

Main lines, in order of rising 2θ (10 to 80 degrees two-theta):
15.8°, I = 71; 30.0°, I = 52; 30.4°, I = 100; 36.8°, I = 55; 52.6°, I = 42; 53.4°, I = 41

Entry 5:
For Na3PtO6, a GGA-PBE-relaxed structure gives the simulated powder diffractogram in this record (Cu Kα (weighted mean of Kα1 and Kα2)).

Cell and atoms:
a = 5.865 Å, b = 5.865 Å, c = 9.760 Å
α = 90.00°, β = 90.00°, γ = 120.00°
Fractional coordinates of all 20 atoms:
Na 0.000 0.000 0.000
Na 0.000 0.000 0.500
Na 0.333 0.667 0.075
Na 0.333 0.667 0.425
Na 0.667 0.333 0.575
Na 0.667 0.333 0.925
Pt 0.333 0.667 0.750
Pt 0.667 0.333 0.250
O 0.075 0.388 0.635
O 0.075 0.688 0.865
O 0.312 0.388 0.865
O 0.312 0.925 0.635
O 0.388 0.075 0.365
O 0.388 0.312 0.135
O 0.612 0.688 0.635
O 0.612 0.925 0.865
O 0.688 0.075 0.135
O 0.688 0.612 0.365
O 0.925 0.312 0.365
O 0.925 0.612 0.135

Main lines, in order of rising 2θ (10 to 80 degrees two-theta):
17.5°, I = 26; 19.7°, I = 100; 25.3°, I = 23; 30.5°, I = 31; 32.7°, I = 39; 45.3°, I = 22

Entry 6:
For Na2Pt4O9, a GGA-PBE-relaxed structure gives the simulated powder diffractogram in this record (Cu Kα (weighted mean of Kα1 and Kα2)).

Cell and atoms:
a = 5.315 Å, b = 5.315 Å, c = 14.543 Å
α = 90.00°, β = 90.00°, γ = 120.00°
Fractional coordinates of all 30 atoms:
Na 0.000 0.000 0.152
Na 0.000 0.000 0.348
Na 0.000 0.000 0.652
Na 0.000 0.000 0.848
Pt 0.333 0.667 0.181
Pt 0.333 0.667 0.485
Pt 0.333 0.667 0.681
Pt 0.333 0.667 0.985
Pt 0.667 0.333 0.015
Pt 0.667 0.333 0.319
Pt 0.667 0.333 0.515
Pt 0.667 0.333 0.819
O 0.000 0.336 0.250
O 0.000 0.664 0.750
O 0.043 0.376 0.576
O 0.043 0.667 0.076
O 0.333 0.376 0.076
O 0.333 0.957 0.576
O 0.336 0.000 0.250
O 0.336 0.336 0.750
O 0.376 0.043 0.924
O 0.376 0.333 0.424
O 0.624 0.667 0.576
O 0.624 0.957 0.076
O 0.664 0.000 0.750
O 0.664 0.664 0.250
O 0.667 0.043 0.424
O 0.667 0.624 0.924
O 0.957 0.333 0.924
O 0.957 0.624 0.424

Main lines, in order of rising 2θ (10 to 80 degrees two-theta):
19.3°, I = 84; 22.9°, I = 46; 31.4°, I = 99; 33.7°, I = 100; 46.7°, I = 38; 51.0°, I = 64

Entry 7:
For NaPt3O4, a GGA-PBE-relaxed structure gives the simulated powder diffractogram in this record (Cu Kα (weighted mean of Kα1 and Kα2)).

Cell and atoms:
a = 5.772 Å, b = 5.772 Å, c = 5.772 Å
α = 90.00°, β = 90.00°, γ = 90.00°
Fractional coordinates of all 16 atoms:
Na 0.000 0.000 0.000
Na 0.500 0.500 0.500
Pt 0.000 0.250 0.500
Pt 0.000 0.750 0.500
Pt 0.250 0.500 0.000
Pt 0.500 0.000 0.250
Pt 0.500 0.000 0.750
Pt 0.750 0.500 0.000
O 0.250 0.250 0.250
O 0.250 0.250 0.750
O 0.250 0.750 0.250
O 0.250 0.750 0.750
O 0.750 0.250 0.250
O 0.750 0.250 0.750
O 0.750 0.750 0.250
O 0.750 0.750 0.750

Main lines, in order of rising 2θ (10 to 80 degrees two-theta):
21.8°, I = 30; 34.8°, I = 100; 38.2°, I = 25; 55.1°, I = 23; 57.6°, I = 24; 75.5°, I = 22

Entry 8:
For NaPt2O4, a GGA-PBE-relaxed structure gives the simulated powder diffractogram in this record (Cu Kα (weighted mean of Kα1 and Kα2)).

Cell and atoms:
a = 5.772 Å, b = 3.126 Å, c = 5.794 Å
α = 90.00°, β = 96.34°, γ = 90.00°
Fractional coordinates of all 7 atoms:
Na 0.000 0.000 0.000
Pt 0.000 0.000 0.500
Pt 0.500 0.500 0.500
O 0.134 0.500 0.703
O 0.306 0.000 0.350
O 0.694 0.000 0.650
O 0.866 0.500 0.297

Main lines, in order of rising 2θ (10 to 80 degrees two-theta):
15.4°, I = 100; 31.1°, I = 17; 31.2°, I = 17; 32.6°, I = 30; 37.0°, I = 24; 46.9°, I = 17

Entry 9:
For NaPt3Rh4O12, a GGA-PBE-relaxed structure gives the simulated powder diffractogram in this record (Cu Kα (weighted mean of Kα1 and Kα2)).

Cell and atoms:
a = 6.636 Å, b = 6.636 Å, c = 6.636 Å
α = 109.47°, β = 109.47°, γ = 109.47°
Fractional coordinates of all 20 atoms:
Na 0.000 0.000 0.000
Pt 0.000 0.500 0.500
Pt 0.500 0.000 0.500
Pt 0.500 0.500 0.000
Rh 0.000 0.000 0.500
Rh 0.000 0.500 0.000
Rh 0.500 0.000 0.000
Rh 0.500 0.500 0.500
O 0.137 0.313 0.824
O 0.176 0.489 0.313
O 0.176 0.863 0.687
O 0.313 0.176 0.489
O 0.313 0.824 0.137
O 0.489 0.313 0.176
O 0.511 0.687 0.824
O 0.687 0.176 0.863
O 0.687 0.824 0.511
O 0.824 0.137 0.313
O 0.824 0.511 0.687
O 0.863 0.687 0.176

Main lines, in order of rising 2θ (10 to 80 degrees two-theta):
16.4°, I = 18; 33.1°, I = 100; 47.5°, I = 22; 59.1°, I = 46; 69.4°, I = 13; 79.0°, I = 18

Entry 10:
For NaRuPt2O6, a GGA-PBE-relaxed structure gives the simulated powder diffractogram in this record (Cu Kα (weighted mean of Kα1 and Kα2)).

Cell and atoms:
a = 5.688 Å, b = 5.688 Å, c = 5.688 Å
α = 55.98°, β = 55.98°, γ = 55.98°
Fractional coordinates of all 10 atoms:
Na 0.000 0.000 0.000
Ru 0.518 0.518 0.518
Pt 0.206 0.206 0.206
Pt 0.717 0.717 0.717
O 0.123 0.800 0.436
O 0.335 0.577 0.909
O 0.436 0.123 0.800
O 0.577 0.909 0.335
O 0.800 0.436 0.123
O 0.909 0.335 0.577

Main lines, in order of rising 2θ (10 to 80 degrees two-theta):
22.9°, I = 100; 31.6°, I = 86; 33.6°, I = 91; 46.8°, I = 34; 51.3°, I = 59; 58.8°, I = 32

Entry 11:
For NaSc2PtO4, a GGA-PBE-relaxed structure gives the simulated powder diffractogram in this record (Cu Kα (weighted mean of Kα1 and Kα2)).

Cell and atoms:
a = 6.178 Å, b = 6.178 Å, c = 6.178 Å
α = 133.58°, β = 133.58°, γ = 67.74°
Fractional coordinates of all 8 atoms:
Na 0.000 0.000 0.000
Sc 0.250 0.750 0.500
Sc 0.750 0.250 0.500
Pt 0.500 0.500 0.000
O 0.106 0.594 0.000
O 0.406 0.406 0.513
O 0.594 0.106 0.000
O 0.894 0.894 0.487

Main lines, in order of rising 2θ (10 to 80 degrees two-theta):
20.2°, I = 84; 31.3°, I = 100; 32.0°, I = 26; 42.4°, I = 25; 51.8°, I = 30; 63.0°, I = 25

Entry 12:
For Na3Sc3PtO8, a GGA-PBE-relaxed structure gives the simulated powder diffractogram in this record (Cu Kα (weighted mean of Kα1 and Kα2)).

Cell and atoms:
a = 6.614 Å, b = 6.614 Å, c = 6.614 Å
α = 57.00°, β = 57.00°, γ = 57.00°
Fractional coordinates of all 15 atoms:
Na 0.000 0.500 0.500
Na 0.500 0.000 0.500
Na 0.500 0.500 0.000
Sc 0.000 0.000 0.500
Sc 0.000 0.500 0.000
Sc 0.500 0.000 0.000
Pt 0.500 0.500 0.500
O 0.233 0.233 0.233
O 0.243 0.728 0.728
O 0.272 0.272 0.757
O 0.272 0.757 0.272
O 0.728 0.243 0.728
O 0.728 0.728 0.243
O 0.757 0.272 0.272
O 0.767 0.767 0.767

Main lines, in order of rising 2θ (10 to 80 degrees two-theta):
16.1°, I = 100; 17.1°, I = 83; 32.7°, I = 34; 33.2°, I = 31; 34.6°, I = 36; 39.5°, I = 91